Entry 1:
Starting from a structure optimized by DFT (GGA-PBE), the X-ray diffraction stick pattern of LiCu2PO4 was simulated for Cu Kα (weighted mean of Kα1 and Kα2).

a b c (Å): 6.1390 5.5319 5.1790
angles (deg): 90.00 90.00 90.00
Element x y z (fractional)
1 Li 0.0000 0.1616 0.0000
2 Li 0.5000 0.8384 0.5000
3 Cu 0.2478 0.6542 0.9938
4 Cu 0.2522 0.3458 0.4938
5 Cu 0.7478 0.3458 0.4938
6 Cu 0.7522 0.6542 0.9938
7 P 0.0000 0.8380 0.4987
8 P 0.5000 0.1620 0.9987
9 O 0.0000 0.0957 0.6209
10 O 0.0000 0.8541 0.1986
11 O 0.2097 0.7012 0.5919
12 O 0.2903 0.2988 0.0919
13 O 0.5000 0.1459 0.6986
14 O 0.5000 0.9043 0.1209
15 O 0.7097 0.2988 0.0919
16 O 0.7903 0.7012 0.5919

The 6 most intense peaks (5° ≤ 2θ ≤ 70°), in order of falling intensity:
37.8 deg, I = 100
33.4 deg, I = 87
34.6 deg, I = 76
36.8 deg, I = 72
23.5 deg, I = 54
58.4 deg, I = 40

=====

Entry 2:
Starting from a structure optimized by DFT (GGA-PBE), the X-ray diffraction stick pattern of Li2Cu3P4O14 was simulated for Cu Kα (weighted mean of Kα1 and Kα2).

a b c (Å): 7.2413 8.0429 9.2919
angles (deg): 90.00 107.66 90.00
Element x y z (fractional)
1 Li 0.2021 0.0890 0.1269
2 Li 0.2021 0.4110 0.6269
3 Li 0.7979 0.5890 0.3731
4 Li 0.7979 0.9110 0.8731
5 Cu 0.3080 0.1223 0.4799
6 Cu 0.3080 0.3777 0.9799
7 Cu 0.5000 0.0000 0.0000
8 Cu 0.5000 0.5000 0.5000
9 Cu 0.6920 0.6223 0.0201
10 Cu 0.6920 0.8777 0.5201
11 P 0.0938 0.0383 0.7168
12 P 0.0938 0.4617 0.2168
13 P 0.3918 0.7126 0.1983
14 P 0.3918 0.7874 0.6983
15 P 0.6082 0.2126 0.3017
16 P 0.6082 0.2874 0.8017
17 P 0.9062 0.5383 0.7832
18 P 0.9062 0.9617 0.2832
19 O 0.1198 0.0034 0.3050
20 O 0.1198 0.4966 0.8050
21 O 0.1249 0.1584 0.5971
22 O 0.1249 0.3416 0.0971
23 O 0.1828 0.6421 0.1904
24 O 0.1828 0.8579 0.6904
25 O 0.1971 0.0964 0.8775
26 O 0.1971 0.4036 0.3775
27 O 0.3578 0.6170 0.6232
28 O 0.3578 0.8830 0.1232
29 O 0.4846 0.5894 0.1153
30 O 0.4846 0.9106 0.6153
31 O 0.4907 0.2134 0.1308
32 O 0.4907 0.2866 0.6308
33 O 0.5093 0.7134 0.3692
34 O 0.5093 0.7866 0.8692
35 O 0.5154 0.0894 0.3847
36 O 0.5154 0.4106 0.8847
37 O 0.6422 0.1170 0.8768
38 O 0.6422 0.3830 0.3768
39 O 0.8029 0.5964 0.6225
40 O 0.8029 0.9036 0.1225
41 O 0.8172 0.1421 0.3096
42 O 0.8172 0.3579 0.8096
43 O 0.8751 0.6584 0.9029
44 O 0.8751 0.8416 0.4029
45 O 0.8802 0.5034 0.1950
46 O 0.8802 0.9966 0.6950

The 6 most intense peaks (5° ≤ 2θ ≤ 70°), in order of falling intensity:
12.8 deg, I = 100
30.2 deg, I = 75
29.0 deg, I = 67
29.3 deg, I = 59
17.6 deg, I = 48
27.0 deg, I = 43

=====

Entry 3:
Starting from a structure optimized by DFT (GGA-PBE), the X-ray diffraction stick pattern of Li2CuP2O7 was simulated for Cu Kα (weighted mean of Kα1 and Kα2).

a b c (Å): 8.1456 8.1456 8.7835
angles (deg): 114.28 114.28 35.82
Element x y z (fractional)
1 Li 0.0420 0.3358 0.0524
2 Li 0.3358 0.0420 0.5524
3 Li 0.6642 0.9580 0.4476
4 Li 0.9580 0.6642 0.9476
5 Cu 0.0000 0.0000 0.0000
6 Cu 0.0000 0.0000 0.5000
7 P 0.2558 0.5408 0.6832
8 P 0.4592 0.7442 0.8168
9 P 0.5408 0.2558 0.1832
10 P 0.7442 0.4592 0.3168
11 O 0.0480 0.7529 0.5563
12 O 0.1189 0.6738 0.8402
13 O 0.2471 0.9520 0.9437
14 O 0.2572 0.3839 0.1069
15 O 0.3262 0.8811 0.6598
16 O 0.3839 0.2572 0.6069
17 O 0.4823 0.5177 0.2500
18 O 0.5177 0.4823 0.7500
19 O 0.6161 0.7428 0.3931
20 O 0.6738 0.1189 0.3402
21 O 0.7428 0.6161 0.8931
22 O 0.7529 0.0480 0.0563
23 O 0.8811 0.3262 0.1598
24 O 0.9520 0.2471 0.4437

The 6 most intense peaks (5° ≤ 2θ ≤ 70°), in order of falling intensity:
12.7 deg, I = 100
27.2 deg, I = 95
20.5 deg, I = 33
26.1 deg, I = 27
28.6 deg, I = 24
23.3 deg, I = 22

=====

Entry 4:
Starting from a structure optimized by DFT (GGA-PBE), the X-ray diffraction stick pattern of LiCu2PO4 was simulated for Cu Kα (weighted mean of Kα1 and Kα2).

a b c (Å): 5.4220 5.1839 6.2651
angles (deg): 90.00 91.14 90.00
Element x y z (fractional)
1 Li 0.1720 0.0000 0.4992
2 Li 0.8280 0.5000 0.5008
3 Cu 0.1658 0.9899 0.0017
4 Cu 0.3036 0.4961 0.2452
5 Cu 0.6964 0.9961 0.7548
6 Cu 0.8342 0.4899 0.9983
7 P 0.3265 0.4995 0.7375
8 P 0.6735 0.9995 0.2625
9 O 0.1803 0.3884 0.5413
10 O 0.2022 0.3941 0.9446
11 O 0.3135 0.7992 0.7371
12 O 0.4013 0.9057 0.2676
13 O 0.5987 0.4057 0.7324
14 O 0.6865 0.2992 0.2629
15 O 0.7978 0.8941 0.0554
16 O 0.8197 0.8884 0.4587

The 6 most intense peaks (5° ≤ 2θ ≤ 70°), in order of falling intensity:
34.6 deg, I = 100
14.1 deg, I = 87
37.7 deg, I = 81
37.2 deg, I = 70
33.0 deg, I = 63
37.4 deg, I = 49

=====

Entry 5:
Starting from a structure optimized by DFT (GGA-PBE), the X-ray diffraction stick pattern of LiCu2PO4 was simulated for Cu Kα (weighted mean of Kα1 and Kα2).

a b c (Å): 10.8967 6.2370 5.2631
angles (deg): 90.00 90.00 90.00
Element x y z (fractional)
1 Li 0.0830 0.2500 0.2019
2 Li 0.4170 0.7500 0.7019
3 Li 0.5830 0.2500 0.2981
4 Li 0.9170 0.7500 0.7981
5 Cu 0.1749 0.5295 0.8029
6 Cu 0.1749 0.9705 0.8029
7 Cu 0.3251 0.0295 0.3029
8 Cu 0.3251 0.4705 0.3029
9 Cu 0.6749 0.5295 0.6971
10 Cu 0.6749 0.9705 0.6971
11 Cu 0.8251 0.0295 0.1971
12 Cu 0.8251 0.4705 0.1971
13 P 0.0787 0.7500 0.3053
14 P 0.4213 0.2500 0.8053
15 P 0.5787 0.7500 0.1947
16 P 0.9213 0.2500 0.6947
17 O 0.0508 0.2500 0.8155
18 O 0.0685 0.7500 0.6025
19 O 0.1495 0.5447 0.2184
20 O 0.1495 0.9553 0.2184
21 O 0.3505 0.0447 0.7184
22 O 0.3505 0.4553 0.7184
23 O 0.4315 0.2500 0.1025
24 O 0.4492 0.7500 0.3155
25 O 0.5508 0.2500 0.6845
26 O 0.5685 0.7500 0.8975
27 O 0.6495 0.5447 0.2816
28 O 0.6495 0.9553 0.2816
29 O 0.8505 0.0447 0.7816
30 O 0.8505 0.4553 0.7816
31 O 0.9315 0.2500 0.3975
32 O 0.9492 0.7500 0.1845

The 6 most intense peaks (5° ≤ 2θ ≤ 70°), in order of falling intensity:
33.1 deg, I = 100
34.1 deg, I = 85
37.4 deg, I = 62
21.7 deg, I = 56
37.2 deg, I = 55
23.5 deg, I = 54

=====

Entry 6:
Starting from a structure optimized by DFT (GGA-PBE), the X-ray diffraction stick pattern of LiCu2PO4 was simulated for Cu Kα (weighted mean of Kα1 and Kα2).

a b c (Å): 5.1679 5.5361 6.2090
angles (deg): 89.38 89.97 89.67
Element x y z (fractional)
1 Li 0.0000 0.0000 0.0000
2 Li 0.4993 0.8263 0.7519
3 Cu 0.0110 0.4758 0.2526
4 Cu 0.4976 0.3269 0.0167
5 Cu 0.5078 0.3260 0.4855
6 Cu 0.9959 0.0059 0.5007
7 P 0.4975 0.8520 0.2473
8 P 0.9943 0.5089 0.7568
9 O 0.0886 0.3545 0.9554
10 O 0.0981 0.3731 0.5535
11 O 0.1095 0.7679 0.7644
12 O 0.1974 0.8593 0.2402
13 O 0.5926 0.9724 0.4616
14 O 0.5996 0.5866 0.2505
15 O 0.6122 0.9766 0.0412
16 O 0.6939 0.5179 0.7528

The 6 most intense peaks (5° ≤ 2θ ≤ 70°), in order of falling intensity:
34.7 deg, I = 100
37.6 deg, I = 69
16.0 deg, I = 59
14.3 deg, I = 57
32.3 deg, I = 48
32.9 deg, I = 46

=====

Entry 7:
Starting from a structure optimized by DFT (GGA-PBE), the X-ray diffraction stick pattern of Li2CuPO4 was simulated for Cu Kα (weighted mean of Kα1 and Kα2).

a b c (Å): 5.0679 5.3583 6.2381
angles (deg): 90.37 90.00 90.33
Element x y z (fractional)
1 Li 0.0000 0.0000 0.0000
2 Li 0.0005 0.4823 0.2546
3 Li 0.5057 0.6552 0.0057
4 Li 0.9988 0.0020 0.5081
5 Cu 0.5076 0.1479 0.7527
6 Cu 0.5132 0.6591 0.5040
7 P 0.0064 0.5057 0.7593
8 P 0.5061 0.1544 0.2489
9 O 0.3130 0.5161 0.7669
10 O 0.3882 0.0259 0.4534
11 O 0.3984 0.0062 0.0504
12 O 0.4014 0.4268 0.2404
13 O 0.8136 0.1475 0.2538
14 O 0.8956 0.6402 0.9618
15 O 0.9170 0.2256 0.7556
16 O 0.9167 0.6392 0.5482

The 6 most intense peaks (5° ≤ 2θ ≤ 70°), in order of falling intensity:
17.5 deg, I = 100
37.9 deg, I = 78
14.2 deg, I = 75
35.4 deg, I = 68
33.4 deg, I = 61
33.1 deg, I = 55

=====

Entry 8:
Starting from a structure optimized by DFT (GGA-PBE), the X-ray diffraction stick pattern of LiCu2PO4 was simulated for Cu Kα (weighted mean of Kα1 and Kα2).

a b c (Å): 5.1914 5.3719 8.1274
angles (deg): 90.00 129.33 90.00
Element x y z (fractional)
1 Li 0.0000 0.1818 0.0000
2 Li 0.0000 0.8182 0.5000
3 Cu 0.2590 0.2934 0.7512
4 Cu 0.2590 0.7066 0.2512
5 Cu 0.4895 0.1859 0.4995
6 Cu 0.4895 0.8141 0.9995
7 P 0.7464 0.3219 0.2488
8 P 0.7464 0.6781 0.7488
9 O 0.0407 0.1737 0.4503
10 O 0.0407 0.8263 0.9503
11 O 0.4386 0.3119 0.2373
12 O 0.4386 0.6881 0.7373
13 O 0.6679 0.1951 0.0478
14 O 0.6679 0.8049 0.5478
15 O 0.8593 0.4040 0.7637
16 O 0.8593 0.5960 0.2637

The 6 most intense peaks (5° ≤ 2θ ≤ 70°), in order of falling intensity:
34.6 deg, I = 100
37.3 deg, I = 89
37.5 deg, I = 89
33.4 deg, I = 83
21.8 deg, I = 68
33.0 deg, I = 58

=====

Entry 9:
Starting from a structure optimized by DFT (GGA-PBE), the X-ray diffraction stick pattern of Li2CuP3O9 was simulated for Cu Kα (weighted mean of Kα1 and Kα2).

a b c (Å): 8.4473 8.7880 9.4436
angles (deg): 90.00 90.00 90.00
Element x y z (fractional)
1 Li 0.0475 0.0290 0.4314
2 Li 0.1644 0.6310 0.8680
3 Li 0.3356 0.3690 0.3680
4 Li 0.4525 0.9710 0.9314
5 Li 0.5475 0.4710 0.5686
6 Li 0.6644 0.8690 0.1320
7 Li 0.8356 0.1310 0.6320
8 Li 0.9525 0.5290 0.0686
9 Cu 0.1276 0.3618 0.6591
10 Cu 0.3724 0.6382 0.1591
11 Cu 0.6276 0.1382 0.3409
12 Cu 0.8724 0.8618 0.8409
13 P 0.0238 0.8185 0.1847
14 P 0.1849 0.9752 0.6911
15 P 0.2048 0.3105 0.0709
16 P 0.2952 0.6895 0.5709
17 P 0.3151 0.0248 0.1911
18 P 0.4762 0.1815 0.6847
19 P 0.5238 0.6815 0.8153
20 P 0.6849 0.5248 0.3089
21 P 0.7048 0.1895 0.9291
22 P 0.7952 0.8105 0.4291
23 P 0.8151 0.4752 0.8089
24 P 0.9762 0.3185 0.3153
25 O 0.0364 0.2799 0.1562
26 O 0.0868 0.0986 0.6233
27 O 0.1068 0.3785 0.4054
28 O 0.1162 0.6842 0.1282
29 O 0.1305 0.8860 0.8175
30 O 0.1435 0.9552 0.2366
31 O 0.1569 0.3668 0.9281
32 O 0.1854 0.6005 0.6635
33 O 0.2319 0.8652 0.5584
34 O 0.2681 0.1348 0.0584
35 O 0.3146 0.3995 0.1635
36 O 0.3431 0.6332 0.4281
37 O 0.3565 0.0448 0.7366
38 O 0.3695 0.1140 0.3175
39 O 0.3838 0.3158 0.6282
40 O 0.3932 0.6215 0.9054
41 O 0.4132 0.9014 0.1233
42 O 0.4636 0.7201 0.6562
43 O 0.5364 0.2201 0.8438
44 O 0.5868 0.4014 0.3767
45 O 0.6068 0.1215 0.5946
46 O 0.6162 0.8158 0.8718
47 O 0.6305 0.6140 0.1825
48 O 0.6435 0.5448 0.7634
49 O 0.6569 0.1332 0.0719
50 O 0.6854 0.8995 0.3365
51 O 0.7319 0.6348 0.4416
52 O 0.7681 0.3652 0.9416
53 O 0.8146 0.1005 0.8365
54 O 0.8431 0.8668 0.5719
55 O 0.8565 0.4552 0.2634
56 O 0.8695 0.3860 0.6825
57 O 0.8838 0.1842 0.3718
58 O 0.8932 0.8785 0.0946
59 O 0.9132 0.5986 0.8767
60 O 0.9636 0.7799 0.3438

The 6 most intense peaks (5° ≤ 2θ ≤ 70°), in order of falling intensity:
21.6 deg, I = 100
22.8 deg, I = 68
32.3 deg, I = 41
30.2 deg, I = 38
33.2 deg, I = 34
25.2 deg, I = 33